No. 1
For NpF6, the PBE geometry in the Materials Project gives the computed X-ray diffraction stick pattern in this record (Cu Kα X-rays).
No peak broadening, texture or thermal motion is included.

Structure:
Lattice parameters (Å, degrees): 10.295 9.329 5.412 90.00 90.00 90.00
Positions (direct):
Np1 0.130 0.250 0.080
Np2 0.370 0.750 0.580
Np3 0.630 0.250 0.420
Np4 0.870 0.750 0.920
F1 0.016 0.250 0.779
F2 0.017 0.098 0.234
F3 0.017 0.402 0.234
F4 0.242 0.098 0.928
F5 0.242 0.402 0.928
F6 0.244 0.250 0.382
F7 0.256 0.750 0.882
F8 0.258 0.598 0.428
F9 0.258 0.902 0.428
F10 0.483 0.598 0.734
F11 0.483 0.902 0.734
F12 0.484 0.750 0.279
F13 0.516 0.250 0.721
F14 0.517 0.098 0.266
F15 0.517 0.402 0.266
F16 0.742 0.098 0.572
F17 0.742 0.402 0.572
F18 0.744 0.250 0.118
F19 0.756 0.750 0.618
F20 0.758 0.598 0.072
F21 0.758 0.902 0.072
F22 0.983 0.598 0.766
F23 0.983 0.902 0.766
F24 0.984 0.750 0.221

Largest 10 diffraction maxima, sorted by position, 15° ≤ 2θ ≤ 90°:
(hkl), Position (°2θ), I_rel
1 0 1, 18.52, 43
0 2 0, 19.00, 80
2 1 0, 19.70, 100
1 1 1, 20.84, 70
1 2 1, 26.67, 32
3 1 1, 32.35, 16
2 3 0, 33.67, 23
3 2 1, 36.50, 16
4 2 0, 40.00, 20
2 5 0, 52.14, 15



No. 2
For AlV3, the PBE geometry in the Materials Project gives the computed X-ray diffraction stick pattern in this record (Cu Kα X-rays).
No peak broadening, texture or thermal motion is included.

Structure:
Lattice parameters (Å, degrees): 3.087 4.288 8.471 90.00 90.00 90.00
Positions (direct):
Al1 0.000 0.000 0.000
Al2 0.500 0.500 0.000
V1 0.000 0.000 0.500
V2 0.000 0.500 0.258
V3 0.000 0.500 0.742
V4 0.500 0.000 0.258
V5 0.500 0.000 0.742
V6 0.500 0.500 0.500

Largest 10 diffraction maxima, sorted by position, 15° ≤ 2θ ≤ 90°:
(hkl), Position (°2θ), I_rel
1 1 2, 41.90, 100
0 2 0, 42.15, 25
0 0 4, 42.69, 23
1 1 3, 48.58, 3
2 0 0, 59.93, 8
0 2 4, 61.55, 14
2 2 0, 75.97, 7
2 0 4, 76.35, 7
1 3 2, 76.88, 15
1 1 6, 77.62, 13



No. 3
For BaPaO3, the PBE geometry in the Materials Project gives the computed X-ray diffraction stick pattern in this record (Cu Kα X-rays).
No peak broadening, texture or thermal motion is included.

Structure:
Lattice parameters (Å, degrees): 4.511 4.511 4.511 90.00 90.00 90.00
Positions (direct):
Ba1 0.000 0.000 0.000
Pa1 0.500 0.500 0.500
O1 0.000 0.500 0.500
O2 0.500 0.000 0.500
O3 0.500 0.500 0.000

Largest 10 diffraction maxima, sorted by position, 15° ≤ 2θ ≤ 90°:
(hkl), Position (°2θ), I_rel
1 0 0, 19.68, 12
1 1 0, 27.97, 100
2 0 0, 39.97, 28
2 1 0, 44.93, 6
2 1 1, 49.49, 43
2 2 0, 57.81, 18
3 1 0, 65.43, 19
2 2 2, 72.60, 6
3 2 1, 79.50, 23
4 0 0, 86.25, 3



No. 4
For Mg6FeSi, the PBE geometry in the Materials Project gives the computed X-ray diffraction stick pattern in this record (Cu Kα X-rays).
No peak broadening, texture or thermal motion is included.

Structure:
Lattice parameters (Å, degrees): 4.665 6.064 10.340 90.00 90.00 90.00
Positions (direct):
Mg1 0.000 0.000 0.000
Mg2 0.000 0.236 0.743
Mg3 0.000 0.264 0.243
Mg4 0.000 0.500 0.500
Mg5 0.000 0.736 0.243
Mg6 0.000 0.764 0.743
Mg7 0.500 0.000 0.167
Mg8 0.500 0.242 0.422
Mg9 0.500 0.258 0.922
Mg10 0.500 0.500 0.667
Mg11 0.500 0.742 0.922
Mg12 0.500 0.758 0.422
Fe1 0.500 0.000 0.651
Fe2 0.500 0.500 0.151
Si1 0.000 0.000 0.518
Si2 0.000 0.500 0.018

Largest 10 diffraction maxima, sorted by position, 15° ≤ 2θ ≤ 90°:
(hkl), Position (°2θ), I_rel
0 1 1, 16.95, 20
0 2 2, 34.29, 31
2 0 0, 38.60, 38
1 2 2, 39.50, 100
1 0 4, 39.87, 53
2 2 2, 52.57, 19
0 2 6, 61.93, 15
3 2 2, 70.45, 16
2 2 6, 75.40, 16
1 4 4, 75.51, 14